Theoretical powder X-ray diffraction pattern of CsCdN for CuKα, from DFT lattice parameters and positions (PBE).
Intensities are scaled so that the largest is 100.

Principal peaks in the range 2θ from 10° to 80°, sorted by position:
2θ = 25.1°, I = 90, hkl 3 0 1; 2θ = 25.2°, I = 45, hkl 1 0 2; 2θ = 26.7°, I = 32, hkl 1 1 1; 2θ = 27.1°, I = 100, hkl 2 1 0; 2θ = 31.9°, I = 28, hkl 4 0 1; 2θ = 32.9°, I = 27, hkl 3 0 2; 2θ = 34.1°, I = 79, hkl 1 1 2; 2θ = 36.6°, I = 32, hkl 2 1 2; 2θ = 45.7°, I = 56, hkl 5 1 1; 2θ = 53.4°, I = 40, hkl 3 2 1

a = 12.1267 Å, b = 3.9263 Å, c = 7.3812 Å
α = 90.00°, β = 90.00°, γ = 90.00°
Space group Pnma (No. 62)
Unique sites:
Cs  0.1561  0.2500  0.0559
Cd  0.0579  0.2500  0.6168
N  0.0846  0.7500  0.7209

---

Theoretical powder X-ray diffraction pattern of CsNdCdTe3 for CuKα, from DFT lattice parameters and positions (PBE).
Intensities are scaled so that the largest is 100.

Principal peaks in the range 2θ from 10° to 80°, sorted by position:
2θ = 10.2°, I = 61, hkl 0 2 0; 2θ = 24.6°, I = 30, hkl 1 3 0; 2θ = 25.7°, I = 100, hkl 1 3 1; 2θ = 28.7°, I = 52, hkl 1 3 2; 2θ = 29.4°, I = 41, hkl 0 0 4; 2θ = 35.5°, I = 47, hkl 1 5 2; 2θ = 38.9°, I = 33, hkl 2 0 0; 2θ = 45.0°, I = 38, hkl 1 3 5; 2θ = 47.3°, I = 25, hkl 1 7 3; 2θ = 49.5°, I = 24, hkl 2 0 4

a = 4.6298 Å, b = 17.3545 Å, c = 12.1393 Å
α = 90.00°, β = 90.00°, γ = 90.00°
Space group Cmcm (No. 63)
Unique sites:
Cs  0.0000  0.2474  0.2500
Nd  0.0000  0.5000  0.0000
Cd  0.0000  0.0386  0.7500
Te  0.0000  0.1231  0.5515
Te  0.0000  0.4357  0.7500

---

Theoretical powder X-ray diffraction pattern of Cs2CdP2O7 for CuKα, from DFT lattice parameters and positions (PBE).
Intensities are scaled so that the largest is 100.

Principal peaks in the range 2θ from 10° to 80°, sorted by position:
2θ = 23.5°, I = 23, hkl 3 0 2; 2θ = 24.1°, I = 100, hkl 3 1 1; 2θ = 25.9°, I = 48, hkl 2 1 2; 2θ = 26.5°, I = 32, hkl 4 1 0; 2θ = 26.6°, I = 28, hkl 1 0 3; 2θ = 30.7°, I = 26, hkl 0 1 3; 2θ = 32.1°, I = 30, hkl 0 2 0; 2θ = 40.2°, I = 18, hkl 3 2 2; 2θ = 41.7°, I = 21, hkl 7 1 1; 2θ = 44.4°, I = 15, hkl 4 1 4

a = 16.9090 Å, b = 5.5720 Å, c = 10.2453 Å
α = 90.00°, β = 90.00°, γ = 90.00°
Space group Pnma (No. 62)
Unique sites:
Cs  0.0784  0.2500  0.1478
Cs  0.1104  0.7500  0.5239
Cd  0.1893  0.7500  0.8881
P  0.0886  0.2500  0.7664
P  0.2374  0.7500  0.2280
O  0.0234  0.2500  0.6643
O  0.0916  0.0209  0.8500
O  0.1710  0.2500  0.6757
O  0.1876  0.7500  0.1032
O  0.2235  0.5216  0.3090

---

Theoretical powder X-ray diffraction pattern of CsCdP3O9 for CuKα, from DFT lattice parameters and positions (PBE).
Intensities are scaled so that the largest is 100.

Principal peaks in the range 2θ from 10° to 80°, sorted by position:
2θ = 11.4°, I = 100, hkl 1 0 1; 2θ = 21.6°, I = 54, hkl 2 1 0; 2θ = 22.7°, I = 99, hkl 2 1 1; 2θ = 23.3°, I = 45, hkl 0 2 0; 2θ = 23.8°, I = 75, hkl 0 1 3; 2θ = 25.7°, I = 43, hkl 2 1 2; 2θ = 28.7°, I = 90, hkl 1 2 2; 2θ = 30.1°, I = 38, hkl 2 1 3; 2θ = 31.5°, I = 45, hkl 1 1 4; 2θ = 46.4°, I = 42, hkl 4 2 2

a = 9.7341 Å, b = 7.6397 Å, c = 12.8674 Å
α = 90.00°, β = 90.00°, γ = 90.00°
Space group Pnma (No. 62)
Unique sites:
Cs  0.1141  0.2500  0.0829
Cd  0.0143  0.7500  0.2232
P  0.2041  0.2500  0.5410
P  0.2474  0.0529  0.3503
O  0.0942  0.2500  0.6209
O  0.1224  0.0490  0.8666
O  0.1414  0.5106  0.2750
O  0.1462  0.7500  0.0701
O  0.1749  0.0857  0.4623
O  0.2064  0.7500  0.8160

---

Theoretical powder X-ray diffraction pattern of CsPrCdSe3 for CuKα, from DFT lattice parameters and positions (PBE).
Intensities are scaled so that the largest is 100.

Principal peaks in the range 2θ from 10° to 80°, sorted by position:
2θ = 10.8°, I = 69, hkl 0 2 0; 2θ = 25.9°, I = 31, hkl 1 3 0; 2θ = 27.0°, I = 100, hkl 1 3 1; 2θ = 30.2°, I = 52, hkl 1 3 2; 2θ = 31.0°, I = 43, hkl 0 0 4; 2θ = 37.5°, I = 50, hkl 1 5 2; 2θ = 40.7°, I = 37, hkl 2 0 0; 2θ = 47.4°, I = 33, hkl 1 3 5; 2θ = 50.0°, I = 27, hkl 1 7 3; 2θ = 52.0°, I = 29, hkl 2 0 4

a = 4.4343 Å, b = 16.3824 Å, c = 11.5532 Å
α = 90.00°, β = 90.00°, γ = 90.00°
Space group Cmcm (No. 63)
Unique sites:
Cs  0.0000  0.2449  0.2500
Pr  0.0000  0.5000  0.0000
Cd  0.0000  0.0367  0.7500
Se  0.0000  0.1195  0.5542
Se  0.0000  0.4381  0.7500

---

Theoretical powder X-ray diffraction pattern of CsPrCdTe3 for CuKα, from DFT lattice parameters and positions (PBE).
Intensities are scaled so that the largest is 100.

Principal peaks in the range 2θ from 10° to 80°, sorted by position:
2θ = 10.2°, I = 60, hkl 0 2 0; 2θ = 24.2°, I = 26, hkl 0 2 3; 2θ = 24.5°, I = 26, hkl 1 3 0; 2θ = 25.6°, I = 100, hkl 1 3 1; 2θ = 28.6°, I = 55, hkl 1 3 2; 2θ = 29.3°, I = 39, hkl 0 0 4; 2θ = 35.4°, I = 47, hkl 1 5 2; 2θ = 38.6°, I = 37, hkl 2 0 0; 2θ = 44.7°, I = 38, hkl 1 3 5; 2θ = 47.1°, I = 25, hkl 1 7 3

a = 4.6618 Å, b = 17.4005 Å, c = 12.2009 Å
α = 90.00°, β = 90.00°, γ = 90.00°
Space group Cmcm (No. 63)
Unique sites:
Cs  0.0000  0.2498  0.2500
Pr  0.0000  0.0000  0.0000
Cd  0.0000  0.4650  0.7500
Te  0.0000  0.0664  0.7500
Te  0.0000  0.3772  0.5544

---

Theoretical powder X-ray diffraction pattern of CsSmCdSe3 for CuKα, from DFT lattice parameters and positions (PBE).
Intensities are scaled so that the largest is 100.

Principal peaks in the range 2θ from 10° to 80°, sorted by position:
2θ = 10.8°, I = 76, hkl 0 2 0; 2θ = 26.2°, I = 26, hkl 1 3 0; 2θ = 27.3°, I = 100, hkl 1 3 1; 2θ = 30.6°, I = 51, hkl 1 3 2; 2θ = 31.4°, I = 48, hkl 0 0 4; 2θ = 37.8°, I = 49, hkl 1 5 2; 2θ = 41.4°, I = 39, hkl 2 0 0; 2θ = 48.1°, I = 33, hkl 1 3 5; 2θ = 50.4°, I = 26, hkl 1 7 3; 2θ = 52.9°, I = 29, hkl 2 0 4

a = 4.3628 Å, b = 16.3696 Å, c = 11.3859 Å
α = 90.00°, β = 90.00°, γ = 90.00°
Space group Cmcm (No. 63)
Unique sites:
Cs  0.0000  0.2431  0.2500
Sm  0.0000  0.5000  0.0000
Cd  0.0000  0.0404  0.7500
Se  0.0000  0.1191  0.5490
Se  0.0000  0.4404  0.7500

---

Theoretical powder X-ray diffraction pattern of CsTbCdSe3 for CuKα, from DFT lattice parameters and positions (PBE).
Intensities are scaled so that the largest is 100.

Principal peaks in the range 2θ from 10° to 80°, sorted by position:
2θ = 10.8°, I = 88, hkl 0 2 0; 2θ = 19.2°, I = 24, hkl 0 2 2; 2θ = 26.3°, I = 25, hkl 1 3 0; 2θ = 27.5°, I = 100, hkl 1 3 1; 2θ = 30.8°, I = 56, hkl 1 3 2; 2θ = 31.9°, I = 51, hkl 0 0 4; 2θ = 38.0°, I = 55, hkl 1 5 2; 2θ = 41.8°, I = 33, hkl 2 0 0; 2θ = 48.6°, I = 36, hkl 1 3 5; 2θ = 50.6°, I = 27, hkl 1 7 3

a = 4.3204 Å, b = 16.3867 Å, c = 11.2376 Å
α = 90.00°, β = 90.00°, γ = 90.00°
Space group Cmcm (No. 63)
Unique sites:
Cs  0.0000  0.2444  0.2500
Tb  0.0000  0.5000  0.0000
Cd  0.0000  0.0390  0.7500
Se  0.0000  0.1169  0.5460
Se  0.0000  0.4394  0.7500

---

Theoretical powder X-ray diffraction pattern of CsYCdSe3 for CuKα, from DFT lattice parameters and positions (PBE).
Intensities are scaled so that the largest is 100.

Principal peaks in the range 2θ from 10° to 80°, sorted by position:
2θ = 10.8°, I = 42, hkl 0 2 0; 2θ = 26.9°, I = 30, hkl 0 4 2; 2θ = 27.5°, I = 100, hkl 1 3 1; 2θ = 30.9°, I = 32, hkl 1 3 2; 2θ = 31.9°, I = 40, hkl 0 0 4; 2θ = 38.0°, I = 36, hkl 1 5 2; 2θ = 41.9°, I = 26, hkl 2 0 0; 2θ = 48.7°, I = 37, hkl 1 3 5; 2θ = 50.6°, I = 37, hkl 1 7 3; 2θ = 53.6°, I = 21, hkl 2 0 4

a = 4.3084 Å, b = 16.3816 Å, c = 11.2284 Å
α = 90.00°, β = 90.00°, γ = 90.00°
Space group Cmcm (No. 63)
Unique sites:
Cs  0.0000  0.2442  0.2500
Y  0.0000  0.5000  0.0000
Cd  0.0000  0.0394  0.7500
Se  0.0000  0.1168  0.5453
Se  0.0000  0.4396  0.7500

---

Theoretical powder X-ray diffraction pattern of CsSmCdTe3 for CuKα, from DFT lattice parameters and positions (PBE).
Intensities are scaled so that the largest is 100.

Principal peaks in the range 2θ from 10° to 80°, sorted by position:
2θ = 10.2°, I = 69, hkl 0 2 0; 2θ = 24.7°, I = 27, hkl 1 3 0; 2θ = 25.8°, I = 100, hkl 1 3 1; 2θ = 28.9°, I = 58, hkl 1 3 2; 2θ = 29.7°, I = 43, hkl 0 0 4; 2θ = 35.6°, I = 51, hkl 1 5 2; 2θ = 39.1°, I = 34, hkl 2 0 0; 2θ = 45.3°, I = 39, hkl 1 3 5; 2θ = 47.3°, I = 25, hkl 1 7 3; 2θ = 49.9°, I = 25, hkl 2 0 4

a = 4.6058 Å, b = 17.3969 Å, c = 12.0361 Å
α = 90.00°, β = 90.00°, γ = 90.00°
Space group Cmcm (No. 63)
Unique sites:
Cs  0.0000  0.2496  0.2500
Sm  0.0000  0.0000  0.0000
Cd  0.0000  0.4639  0.7500
Te  0.0000  0.0657  0.7500
Te  0.0000  0.3785  0.5502

---

Theoretical powder X-ray diffraction pattern of CsTmCdTe3 for CuKα, from DFT lattice parameters and positions (PBE).
Intensities are scaled so that the largest is 100.

Principal peaks in the range 2θ from 10° to 80°, sorted by position:
2θ = 10.2°, I = 90, hkl 0 2 0; 2θ = 25.0°, I = 30, hkl 1 3 0; 2θ = 26.1°, I = 100, hkl 1 3 1; 2θ = 29.3°, I = 63, hkl 1 3 2; 2θ = 30.2°, I = 51, hkl 0 0 4; 2θ = 36.0°, I = 58, hkl 1 5 2; 2θ = 39.9°, I = 43, hkl 2 0 0; 2θ = 46.1°, I = 41, hkl 1 3 5; 2θ = 47.8°, I = 28, hkl 1 7 3; 2θ = 50.9°, I = 28, hkl 2 0 4

a = 4.5155 Å, b = 17.3747 Å, c = 11.8187 Å
α = 90.00°, β = 90.00°, γ = 90.00°
Space group Cmcm (No. 63)
Unique sites:
Cs  0.0000  0.2487  0.2500
Tm  0.0000  0.0000  0.0000
Cd  0.0000  0.4621  0.7500
Te  0.0000  0.0646  0.7500
Te  0.0000  0.3811  0.5439

---

What is the formula in the fourth record?
CsCdP3O9